Record 1
Calculated XRD peak list of TlHgF3 for λ = 1.5418 Å (Cu Kα), from a DFT-relaxed cell (PBE, Alexandria).
No peak broadening, texture or thermal motion is included.

```
10
Lattice="6.0775 -2.3563 0.0000 6.0775 2.3563 0.0000 -1.4340 0.0000 7.1235" Properties=species:S:1:pos:R:3 pbc="T T T"
Tl 0.9226 0.0000 2.5902
Tl 9.7985 0.0000 4.5333
Hg 4.3392 0.0000 0.6463
Hg 6.3819 0.0000 6.4771
F 0.5486 0.0000 7.0462
F 3.4802 0.0000 2.6561
F 4.0090 0.0000 5.8203
F 6.7121 0.0000 1.3032
F 7.2409 0.0000 4.4673
F 10.1725 0.0000 0.0773
```

Largest 10 diffraction maxima, most intense first, 15° ≤ 2θ ≤ 90°:
- d 3.617, intensity 100
- d 2.960, intensity 48
- d 3.363, intensity 40
- d 2.979, intensity 37
- d 2.154, intensity 29
- d 1.745, intensity 24
- d 2.356, intensity 23
- d 1.946, intensity 21
- d 2.822, intensity 19
- d 1.848, intensity 19

Record 2
Calculated XRD peak list of Tm6Sn2H for λ = 1.5418 Å (Cu Kα), from a DFT-relaxed cell (PBE, Alexandria).
No peak broadening, texture or thermal motion is included.

```
18
Lattice="6.4209 0.0000 0.0000 0.0000 7.5709 0.0000 -6.3909 0.0000 9.5459" Properties=species:S:1:pos:R:3 pbc="T T T"
Tm -2.4337 1.4901 4.3592
Tm -5.6292 2.2953 9.1321
Tm -0.7313 5.2843 4.3510
Tm -3.9267 6.0720 9.1240
Tm 0.8858 0.1565 2.3420
Tm -2.3097 3.6290 7.1150
Tm 2.3397 3.9419 2.4309
Tm -0.8558 7.4144 7.2038
Tm 3.9567 1.4988 0.4219
Tm 0.7612 2.2866 5.1948
Tm 5.6591 5.2756 0.4138
Tm 2.4637 6.0808 5.1867
Sn -3.8043 0.8912 7.1625
Sn -0.6088 2.8943 2.3896
Sn 0.6388 4.6766 7.1563
Sn 3.8343 6.6797 2.3833
H 0.0000 0.0000 0.0000
H -3.1955 3.7854 4.7729
```

Largest 10 diffraction maxima, most intense first, 15° ≤ 2θ ≤ 90°:
- d 2.966, intensity 100
- d 2.823, intensity 85
- d 2.513, intensity 85
- d 2.668, intensity 61
- d 2.692, intensity 47
- d 2.349, intensity 46
- d 2.956, intensity 43
- d 3.086, intensity 38
- d 2.386, intensity 34
- d 1.605, intensity 32

Record 3
Calculated XRD peak list of Tb3P4Rh11 for λ = 1.5418 Å (Cu Kα), from a DFT-relaxed cell (PBE, Alexandria).
No peak broadening, texture or thermal motion is included.

```
18
Lattice="5.4508 0.0000 0.0000 -2.7254 4.7206 0.0000 0.0000 0.0000 11.4998" Properties=species:S:1:pos:R:3 pbc="T T T"
Tb 0.0000 0.0000 0.0000
Tb 0.0000 0.0000 3.8140
Tb 0.0000 0.0000 7.6859
P 0.0000 3.1470 3.9318
P 0.0000 3.1470 7.5680
P 2.7254 1.5735 3.9318
P 2.7254 1.5735 7.5680
Rh -1.3627 2.3603 2.2204
Rh -1.3627 2.3603 5.7499
Rh -1.3627 2.3603 9.2794
Rh 0.0000 3.1470 0.0000
Rh 2.7254 0.0000 2.2204
Rh 2.7254 0.0000 5.7499
Rh 2.7254 0.0000 9.2794
Rh 1.3627 2.3603 2.2204
Rh 1.3627 2.3603 5.7499
Rh 1.3627 2.3603 9.2794
Rh 2.7254 1.5735 0.0000
```

Largest 10 diffraction maxima, most intense first, 15° ≤ 2θ ≤ 90°:
- d 2.221, intensity 100
- d 2.360, intensity 79
- d 2.976, intensity 68
- d 1.363, intensity 26
- d 1.456, intensity 26
- d 1.618, intensity 22
- d 1.488, intensity 22
- d 2.010, intensity 19
- d 1.111, intensity 19
- d 1.917, intensity 19

Record 4
Calculated XRD peak list of Mg2Pa2SiIr4 for λ = 1.5418 Å (Cu Kα), from a DFT-relaxed cell (PBE, Alexandria).
No peak broadening, texture or thermal motion is included.

```
9
Lattice="-3.1278 3.1278 4.5464 3.1278 -3.1278 4.5464 3.1278 3.1278 -4.5464" Properties=species:S:1:pos:R:3 pbc="T T T"
Mg 3.1278 0.0000 2.2732
Mg 0.0000 3.1278 2.2732
Pa 0.0000 0.0000 1.8015
Pa 0.0000 0.0000 7.2914
Si 0.0000 0.0000 4.5464
Ir 1.4649 1.4649 0.0000
Ir 1.6630 -1.6630 4.5464
Ir -1.6630 1.6630 4.5464
Ir 1.6630 1.6630 4.5464
```

Largest 10 diffraction maxima, most intense first, 15° ≤ 2θ ≤ 90°:
- d 2.577, intensity 100
- d 2.212, intensity 41
- d 4.423, intensity 29
- d 1.337, intensity 24
- d 2.056, intensity 19
- d 1.585, intensity 16
- d 5.154, intensity 16
- d 1.564, intensity 13
- d 2.273, intensity 13
- d 4.546, intensity 12